This entry pairs a crystal structure of Ac6In2CoO with its calculated powder diffractogram. Radiation: Cu Kα, 1.54184 Å. Structure: the PBE+U geometry in Alexandria.
Neutral-atom scattering factors, no anomalous dispersion.

Cell and atoms:
```
data_Ac6In2CoO
_chemical_formula_sum 'Ac12 In4 Co2 O2'
_cell_length_a 7.779
_cell_length_b 11.013
_cell_length_c 7.780
_cell_angle_alpha 90.00
_cell_angle_beta 90.00
_cell_angle_gamma 90.00
_symmetry_space_group_name_H-M 'P m m n'
_symmetry_Int_Tables_number 59
loop_
_symmetry_equiv_pos_as_xyz
'x,y,z'
'-x,-y,-z'
'-x+1/2,-y+1/2,z'
'x+1/2,y+1/2,-z'
'x+1/2,-y,-z'
'-x+1/2,y,z'
'-x,y+1/2,-z'
'x,-y+1/2,z'
loop_
_atom_site_label
_atom_site_fract_x
_atom_site_fract_y
_atom_site_fract_z
Ac1 0.004 0.250 0.004
Ac2 0.004 0.250 0.496
Ac3 0.250 0.004 0.250
In1 0.250 0.000 0.750
Co1 0.250 0.750 0.250
O1 0.250 0.250 0.250
```

Principal peaks in the range 2θ from 10° to 90°, sorted by position:
| 2theta | I (rel.) | index |
| --- | --- | --- |
| 16.11 | 10 | 1 0 1 |
| 28.09 | 100 | 2 2 0 |
| 32.54 | 63 | 2 0 2 |
| 36.51 | 6 | 3 0 1 |
| 46.69 | 47 | 4 0 0 |
| 49.71 | 3 | 3 0 3 |
| 55.37 | 47 | 4 2 2 |
| 58.07 | 16 | 4 4 0 |
| 68.16 | 8 | 4 0 4 |
| 75.27 | 19 | 6 2 0 |
| 77.59 | 21 | 6 0 2 |
| 86.68 | 16 | 6 4 2 |